Calculated X-ray powder pattern of Ta2Nb6Os for Cu Kα (weighted mean of Kα1 and Kα2), from a DFT-relaxed cell (PBE, Alexandria).
Intensities are scaled so that the largest is 100.

Structure:
Cell: 14.119 6.321 4.441 Å, 90.00 108.22 90.00°
Space group C2/m (No. 12)
Symmetry-distinct sites (fractional):
Ta: 0.165 0.000 0.164 [4 per cell]
Nb: 0.000 0.255 0.000 [4 per cell]
Nb: 0.164 0.254 0.663 [8 per cell]
Os: 0.000 0.500 0.500 [2 per cell]

Largest 8 diffraction maxima, in order of rising 2θ, 10 to 80 degrees two-theta:
hkl 3 1 0, 2θ = 24.4°, rel. 35
hkl 1 1 -1, 2θ = 24.5°, rel. 36
hkl 2 2 1, 2θ = 40.4°, rel. 100
hkl 2 0 -2, 2θ = 40.6°, rel. 20
hkl 3 3 0, 2θ = 47.8°, rel. 24
hkl 1 1 2, 2θ = 48.0°, rel. 12
hkl 6 4 0, 2θ = 73.4°, rel. 20
hkl 0 2 3, 2θ = 73.8°, rel. 13